For LaP2RhO8, a structure optimized by DFT (PBE) gives the calculated PXRD pattern in this record (copper Kα).
Peak positions follow from Bragg's law for the DFT cell and can differ from measured ones.

Principal peaks in the range 10 to 90 degrees two-theta, sorted by position:
two_theta, I/Imax
22.91, 33
26.93, 100
37.54, 38
39.34, 27
45.23, 31
46.80, 24

Structure:
a = 7.8300 Å, b = 7.8300 Å, c = 7.8300 Å
α = 35.63°, β = 35.63°, γ = 35.63°
Element x y z (fractional)
1 La 0.0000 0.0000 0.0000
2 P 0.2490 0.2490 0.2490
3 P 0.7510 0.7510 0.7510
4 Rh 0.5000 0.5000 0.5000
5 O 0.0927 0.4756 0.7419
6 O 0.2581 0.5244 0.9073
7 O 0.3201 0.3201 0.3201
8 O 0.4756 0.7419 0.0927
9 O 0.5244 0.9073 0.2581
10 O 0.6799 0.6799 0.6799
11 O 0.7419 0.0927 0.4756
12 O 0.9073 0.2581 0.5244